[1]
Diffraction record for Cu5Ag4. The X-ray powder pattern is computed, not measured: it uses DFT lattice parameters and positions (PBE) and Cu Kα, 1.54184 Å.
Intensities are scaled so that the largest is 100.

Top 10 peaks for 15° ≤ 2θ ≤ 90°, in order of falling intensity:
hkl 1 0 3, d = 2.263 Å, 2θ = 39.84°, rel. 100; hkl 0 1 6, d = 1.944 Å, 2θ = 46.72°, rel. 50; hkl 1 1 0, d = 1.391 Å, 2θ = 67.30°, rel. 20; hkl 0 0 9, d = 2.194 Å, 2θ = 41.15°, rel. 17; hkl 1 1 9, d = 1.175 Å, 2θ = 82.01°, rel. 12; hkl 0 0 8, d = 2.468 Å, 2θ = 36.41°, rel. 12; hkl 0 1 5, d = 2.057 Å, 2θ = 44.02°, rel. 12; hkl 0 2 3, d = 1.185 Å, 2θ = 81.15°, rel. 11; hkl 1 0 11, d = 1.439 Å, 2θ = 64.76°, rel. 8; hkl 2 0 6, d = 1.131 Å, 2θ = 85.90°, rel. 8

Atomic structure:
```
data_Cu5Ag4
_chemical_formula_sum 'Cu5 Ag4'
_cell_length_a 2.7827
_cell_length_b 2.7827
_cell_length_c 19.7427
_cell_angle_alpha 90.00
_cell_angle_beta 90.00
_cell_angle_gamma 120.00
_symmetry_space_group_name_H-M 'P 3 m 1'
_symmetry_Int_Tables_number 156
_symmetry_space_group_name_Hall 'P 3 -2"'
loop_
_atom_site_label
_atom_site_fract_x
_atom_site_fract_y
_atom_site_fract_z
_atom_site_occupancy
Cu1 0.0000 0.0000 0.0000 1
Cu2 0.0000 0.0000 0.2962 1
Cu3 0.3333 0.6667 0.1978 1
Cu4 0.6667 0.3333 0.0985 1
Cu5 0.6667 0.3333 0.7742 1
Ag1 0.0000 0.0000 0.6628 1
Ag2 0.3333 0.6667 0.5363 1
Ag3 0.3333 0.6667 0.8866 1
Ag4 0.6667 0.3333 0.4090 1
```

***

[2]
Diffraction record for Zr3Zn3NiPd2. The X-ray powder pattern is computed, not measured: it uses DFT lattice parameters and positions (PBE) and Cu Kα, 1.54184 Å.
Intensities are scaled so that the largest is 100.

Top 10 peaks for 15° ≤ 2θ ≤ 90°, in order of falling intensity:
hkl 2 0 1, d = 2.316 Å, 2θ = 38.89°, rel. 100; hkl 1 1 1, d = 2.503 Å, 2θ = 35.88°, rel. 90; hkl 3 0 0, d = 2.041 Å, 2θ = 44.39°, rel. 42; hkl 2 1 1, d = 1.938 Å, 2θ = 46.89°, rel. 27; hkl 3 2 1, d = 1.306 Å, 2θ = 72.37°, rel. 23; hkl 3 0 2, d = 1.338 Å, 2θ = 70.37°, rel. 20; hkl 0 0 2, d = 1.772 Å, 2θ = 51.58°, rel. 19; hkl 2 1 2, d = 1.407 Å, 2θ = 66.46°, rel. 15; hkl 4 1 1, d = 1.250 Å, 2θ = 76.13°, rel. 12; hkl 1 1 0, d = 3.536 Å, 2θ = 25.18°, rel. 9

Atomic structure:
```
data_Zr3Zn3NiPd2
_chemical_formula_sum 'Zr3 Zn3 Ni1 Pd2'
_cell_length_a 7.0698
_cell_length_b 7.0698
_cell_length_c 3.5437
_cell_angle_alpha 90.00
_cell_angle_beta 90.00
_cell_angle_gamma 120.00
_symmetry_space_group_name_H-M 'P -6 2 m'
_symmetry_Int_Tables_number 189
_symmetry_space_group_name_Hall 'P -6 -2'
loop_
_atom_site_label
_atom_site_fract_x
_atom_site_fract_y
_atom_site_fract_z
_atom_site_occupancy
Zr1 0.0000 0.6063 0.0000 1
Zn1 0.0000 0.2517 0.5000 1
Ni1 0.0000 0.0000 0.0000 1
Pd1 0.3333 0.6667 0.5000 1
```

***

[3]
Diffraction record for TlAu7. The X-ray powder pattern is computed, not measured: it uses DFT lattice parameters and positions (PBE) and Cu Kα, 1.54184 Å.
Intensities are scaled so that the largest is 100.

Top 10 peaks for 15° ≤ 2θ ≤ 90°, in order of falling intensity:
hkl 1 1 0, d = 2.342 Å, 2θ = 38.45°, rel. 100; hkl 0 1 11, d = 2.483 Å, 2θ = 36.18°, rel. 87; hkl 1 0 11, d = 2.147 Å, 2θ = 42.08°, rel. 57; hkl 1 2 11, d = 1.455 Å, 2θ = 63.97°, rel. 34; hkl 0 2 0, d = 1.979 Å, 2θ = 45.86°, rel. 31; hkl 2 1 11, d = 1.254 Å, 2θ = 75.87°, rel. 21; hkl 0 1 12, d = 2.351 Å, 2θ = 38.29°, rel. 20; hkl 1 1 22, d = 1.318 Å, 2θ = 71.61°, rel. 18; hkl 1 0 12, d = 2.060 Å, 2θ = 43.95°, rel. 14; hkl 1 3 0, d = 1.201 Å, 2θ = 79.83°, rel. 13

Atomic structure:
```
data_TlAu7
_chemical_formula_sum 'Tl2 Au14'
_cell_length_a 2.906
_cell_length_b 3.959
_cell_length_c 35.062
_cell_angle_alpha 90.00
_cell_angle_beta 90.00
_cell_angle_gamma 90.00
_symmetry_space_group_name_H-M 'P m m n'
_symmetry_Int_Tables_number 59
loop_
_symmetry_equiv_pos_as_xyz
'x,y,z'
'-x,-y,-z'
'-x+1/2,-y+1/2,z'
'x+1/2,y+1/2,-z'
'x+1/2,-y,-z'
'-x+1/2,y,z'
'-x,y+1/2,-z'
'x,-y+1/2,z'
loop_
_atom_site_label
_atom_site_fract_x
_atom_site_fract_y
_atom_site_fract_z
_atom_site_occupancy
Tl1 0.250 0.250 0.154 1
Au1 0.250 0.250 0.256 1
Au2 0.250 0.250 0.345 1
Au3 0.250 0.250 0.433 1
Au4 0.250 0.250 0.522 1
Au5 0.250 0.250 0.611 1
Au6 0.250 0.250 0.699 1
Au7 0.250 0.250 0.789 1
```

***

[4]
Diffraction record for ZnIr2Se2S2. The X-ray powder pattern is computed, not measured: it uses DFT lattice parameters and positions (PBE) and Cu Kα, 1.54184 Å.
Intensities are scaled so that the largest is 100.

Top 10 peaks for 15° ≤ 2θ ≤ 90°, in order of falling intensity:
hkl 2 2 -1, d = 2.997 Å, 2θ = 29.81°, rel. 100; hkl 0 2 1, d = 3.029 Å, 2θ = 29.49°, rel. 98; hkl 1 1 0, d = 4.922 Å, 2θ = 18.02°, rel. 96; hkl 1 1 -1, d = 4.601 Å, 2θ = 19.29°, rel. 38; hkl 1 3 -1, d = 2.733 Å, 2θ = 32.77°, rel. 33; hkl 2 2 -2, d = 2.300 Å, 2θ = 39.17°, rel. 32; hkl 4 0 -2, d = 1.917 Å, 2θ = 47.42°, rel. 28; hkl 2 4 0, d = 1.841 Å, 2θ = 49.51°, rel. 28; hkl 0 0 2, d = 1.951 Å, 2θ = 46.56°, rel. 27; hkl 2 4 -2, d = 1.771 Å, 2θ = 51.62°, rel. 25

Atomic structure:
```
data_ZnIr2Se2S2
_chemical_formula_sum 'Zn2 Ir4 Se4 S4'
_cell_length_a 7.700
_cell_length_b 9.609
_cell_length_c 5.242
_cell_angle_alpha 90.00
_cell_angle_beta 131.90
_cell_angle_gamma 90.00
_symmetry_space_group_name_H-M 'C 1 2 1'
_symmetry_Int_Tables_number 5
_symmetry_space_group_name_Hall 'C 2y'
loop_
_atom_site_label
_atom_site_fract_x
_atom_site_fract_y
_atom_site_fract_z
_atom_site_occupancy
Zn1 0.000 0.000 0.000 1
Ir1 0.000 0.532 0.000 1
Ir2 0.000 0.711 0.500 1
Se1 0.231 0.365 0.464 1
S1 0.219 0.146 0.942 1
```

***

[5]
Diffraction record for Lu4Ta2Pb3C3. The X-ray powder pattern is computed, not measured: it uses DFT lattice parameters and positions (PBE) and Cu Kα, 1.54184 Å.
Intensities are scaled so that the largest is 100.

Top 10 peaks for 15° ≤ 2θ ≤ 90°, in order of falling intensity:
hkl 3 1 -4, d = 2.563 Å, 2θ = 35.02°, rel. 100; hkl 3 1 2, d = 2.549 Å, 2θ = 35.21°, rel. 48; hkl 0 0 6, d = 2.493 Å, 2θ = 36.03°, rel. 29; hkl 3 1 -1, d = 2.977 Å, 2θ = 30.01°, rel. 23; hkl 3 3 -1, d = 1.723 Å, 2θ = 53.17°, rel. 20; hkl 3 1 -7, d = 1.915 Å, 2θ = 47.47°, rel. 15; hkl 0 2 0, d = 2.987 Å, 2θ = 29.91°, rel. 11; hkl 6 0 -2, d = 1.717 Å, 2θ = 53.36°, rel. 10; hkl 3 3 -7, d = 1.420 Å, 2θ = 65.79°, rel. 10; hkl 3 3 5, d = 1.415 Å, 2θ = 66.04°, rel. 9

Atomic structure:
```
data_Lu4Ta2Pb3C3
_chemical_formula_sum 'Lu16 Ta8 Pb12 C12'
_cell_length_a 10.302
_cell_length_b 5.974
_cell_length_c 15.369
_cell_angle_alpha 90.00
_cell_angle_beta 103.32
_cell_angle_gamma 90.00
_symmetry_space_group_name_H-M 'C 1 2/c 1'
_symmetry_Int_Tables_number 15
_symmetry_space_group_name_Hall '-C 2yc'
loop_
_atom_site_label
_atom_site_fract_x
_atom_site_fract_y
_atom_site_fract_z
_atom_site_occupancy
Lu1 0.113 0.073 0.087 1
Lu2 0.215 0.089 0.413 1
Ta1 0.063 0.412 0.928 1
Pb1 0.000 0.108 0.750 1
Pb2 0.155 0.427 0.247 1
C1 0.076 0.270 0.500 1
C2 0.250 0.250 0.000 1
```

***

[6]
Diffraction record for Nb7Pt6. The X-ray powder pattern is computed, not measured: it uses DFT lattice parameters and positions (PBE) and Cu Kα, 1.54184 Å.
Intensities are scaled so that the largest is 100.

Top 10 peaks for 15° ≤ 2θ ≤ 90°, in order of falling intensity:
hkl 1 1 6, d = 2.286 Å, 2θ = 39.42°, rel. 100; hkl 2 0 5, d = 2.106 Å, 2θ = 42.95°, rel. 91; hkl 0 2 1, d = 2.267 Å, 2θ = 39.76°, rel. 91; hkl 0 0 6, d = 4.639 Å, 2θ = 19.13°, rel. 82; hkl 0 2 7, d = 1.975 Å, 2θ = 45.96°, rel. 52; hkl 0 1 11, d = 2.211 Å, 2θ = 40.80°, rel. 47; hkl 0 0 12, d = 2.320 Å, 2θ = 38.82°, rel. 47; hkl 2 2 0, d = 1.313 Å, 2θ = 71.89°, rel. 45; hkl 1 0 10, d = 2.374 Å, 2θ = 37.89°, rel. 41; hkl 0 2 4, d = 2.162 Å, 2θ = 41.78°, rel. 39

Atomic structure:
```
data_Nb7Pt6
_chemical_formula_sum 'Nb21 Pt18'
_cell_length_a 5.2535
_cell_length_b 5.2535
_cell_length_c 27.8357
_cell_angle_alpha 90.00
_cell_angle_beta 90.00
_cell_angle_gamma 120.00
_symmetry_space_group_name_H-M 'R -3 m'
_symmetry_Int_Tables_number 166
_symmetry_space_group_name_Hall '-R 3 2"'
loop_
_atom_site_label
_atom_site_fract_x
_atom_site_fract_y
_atom_site_fract_z
_atom_site_occupancy
Nb1 0.0000 0.0000 0.0000 1
Nb2 0.0000 0.0000 0.1645 1
Nb3 0.0000 0.0000 0.3475 1
Nb4 0.0000 0.0000 0.4532 1
Pt1 0.0035 0.5018 0.4127 1
```